(1)
Diffraction record for Li2LaTi. The XRD peak list is computed, not measured: it uses a crystal structure in Alexandria, relaxed with GGA-PBE and Cu Ka.

Cell and atoms:
abc: 7.172 7.172 7.172
angles: 90.00 90.00 90.00
Space group Fm-3m (No. 225)
Inequivalent atoms, fractional coordinates:
Li1 0.250 0.250 0.250
La1 0.000 0.000 0.000
Ti1 0.000 0.000 0.500

Top 6 peaks for 10 to 90 degrees two-theta, most intense first:
2θ = 24.8°, rel. 100; 2θ = 35.4°, rel. 98; 2θ = 21.5°, rel. 48; 2θ = 57.5°, rel. 37; 2θ = 63.6°, rel. 34; 2θ = 43.7°, rel. 29

---

(2)
Diffraction record for Sr2PbBr6. The XRD peak list is computed, not measured: it uses a crystal structure in Alexandria, relaxed with GGA-PBE and Cu Ka.

Cell and atoms:
abc: 7.157 7.157 14.048
angles: 90.00 90.00 90.00
Space group P4_2/mnm (No. 136)
Inequivalent atoms, fractional coordinates:
Sr1 0.000 0.000 0.167
Pb1 0.000 0.000 0.500
Br1 0.196 0.196 0.334
Br2 0.197 0.197 0.000

Top 6 peaks for 10 to 90 degrees two-theta, most intense first:
2θ = 33.9°, rel. 100; 2θ = 17.5°, rel. 93; 2θ = 42.5°, rel. 85; 2θ = 25.9°, rel. 76; 2θ = 35.5°, rel. 40; 2θ = 27.9°, rel. 28

---

Copy entry 2 word for word.
Diffraction record for Sr2PbBr6. The XRD peak list is computed, not measured: it uses a crystal structure in Alexandria, relaxed with GGA-PBE and Cu Ka.

Cell and atoms:
abc: 7.157 7.157 14.048
angles: 90.00 90.00 90.00
Space group P4_2/mnm (No. 136)
Inequivalent atoms, fractional coordinates:
Sr1 0.000 0.000 0.167
Pb1 0.000 0.000 0.500
Br1 0.196 0.196 0.334
Br2 0.197 0.197 0.000

Top 6 peaks for 10 to 90 degrees two-theta, most intense first:
2θ = 33.9°, rel. 100; 2θ = 17.5°, rel. 93; 2θ = 42.5°, rel. 85; 2θ = 25.9°, rel. 76; 2θ = 35.5°, rel. 40; 2θ = 27.9°, rel. 28